Diffraction record for Sr2In3PdAu12. The powder diffraction line list is simulated, not measured: it uses a structure optimized by DFT (GGA-PBE) and λ = 1.5418 Å (Cu Kα).
Neutral-atom scattering factors, no anomalous dispersion.

The 8 most intense peaks (10° ≤ 2θ ≤ 90°), by intensity:
- 2θ = 39.78°, intensity 100.0
- 2θ = 28.60°, intensity 96.1
- 2θ = 38.23°, intensity 84.8
- 2θ = 41.97°, intensity 62.8
- 2θ = 20.63°, intensity 61.1
- 2θ = 43.31°, intensity 49.3
- 2θ = 36.76°, intensity 46.2
- 2θ = 12.89°, intensity 37.6

Atomic structure:
Lattice parameters (Å, degrees): 9.0629 9.0629 20.6012 90.00 90.00 120.00
Space group R-3m (No. 166, hexagonal axes)
Inequivalent atoms, fractional coordinates:
Sr 0.0000 0.0000 0.1116
In 0.0000 0.5000 0.0000
Pd 0.0000 0.0000 0.5000
Au 0.0053 0.5026 0.1387
Au 0.0802 0.5401 0.4058

=====

Diffraction record for In2Te2Pd7Au. The powder diffraction line list is simulated, not measured: it uses a structure optimized by DFT (GGA-PBE) and λ = 1.5418 Å (Cu Kα).
Neutral-atom scattering factors, no anomalous dispersion.

The 8 most intense peaks (10° ≤ 2θ ≤ 90°), by intensity:
- 2θ = 46.23°, intensity 100.0
- 2θ = 36.63°, intensity 48.6
- 2θ = 41.88°, intensity 46.4
- 2θ = 11.39°, intensity 43.5
- 2θ = 43.64°, intensity 42.8
- 2θ = 40.65°, intensity 40.5
- 2θ = 39.82°, intensity 39.2
- 2θ = 38.11°, intensity 35.8

Atomic structure:
Lattice parameters (Å, degrees): 5.5577 5.5705 15.6107 90.00 95.54 90.00
Space group C2/m (No. 12)
Inequivalent atoms, fractional coordinates:
In 0.0686 0.0000 0.2558
Te 0.1515 0.5000 0.4002
Pd 0.0000 0.0000 0.0000
Pd 0.1603 0.0000 0.4292
Pd 0.2143 0.2500 0.8661
Au 0.0000 0.5000 0.0000

=====

Diffraction record for PmIn3Au3. The powder diffraction line list is simulated, not measured: it uses a structure optimized by DFT (GGA-PBE) and λ = 1.5418 Å (Cu Kα).
Neutral-atom scattering factors, no anomalous dispersion.

The 8 most intense peaks (10° ≤ 2θ ≤ 90°), by intensity:
- 2θ = 36.33°, intensity 100.0
- 2θ = 37.58°, intensity 71.0
- 2θ = 20.74°, intensity 37.6
- 2θ = 48.47°, intensity 37.2
- 2θ = 25.90°, intensity 31.7
- 2θ = 30.98°, intensity 25.0
- 2θ = 53.26°, intensity 23.4
- 2θ = 66.18°, intensity 21.5

Atomic structure:
Lattice parameters (Å, degrees): 8.5673 8.5673 17.3177 90.00 90.00 120.00
Space group R-3 (No. 148, hexagonal axes)
Inequivalent atoms, fractional coordinates:
Pm 0.0000 0.0000 0.1650
In 0.0017 0.3029 0.5979
Au 0.0009 0.3515 0.4241

=====

Diffraction record for Pm5InAu2. The powder diffraction line list is simulated, not measured: it uses a structure optimized by DFT (GGA-PBE) and λ = 1.5418 Å (Cu Kα).
Neutral-atom scattering factors, no anomalous dispersion.

The 8 most intense peaks (10° ≤ 2θ ≤ 90°), by intensity:
- 2θ = 31.31°, intensity 100.0
- 2θ = 34.13°, intensity 51.0
- 2θ = 63.83°, intensity 18.4
- 2θ = 13.21°, intensity 14.2
- 2θ = 34.38°, intensity 13.3
- 2θ = 41.54°, intensity 12.7
- 2θ = 53.87°, intensity 10.5
- 2θ = 66.15°, intensity 10.2

Atomic structure:
Lattice parameters (Å, degrees): 8.3081 8.3081 13.4041 90.00 90.00 90.00
Space group I4/mcm (No. 140)
Inequivalent atoms, fractional coordinates:
Pm 0.0000 0.0000 0.0000
Pm 0.1562 0.3438 0.1447
In 0.0000 0.0000 0.2500
Au 0.1347 0.3653 0.5000

=====

Diffraction record for Pm5In2Au12. The powder diffraction line list is simulated, not measured: it uses a structure optimized by DFT (GGA-PBE) and λ = 1.5418 Å (Cu Kα).
Neutral-atom scattering factors, no anomalous dispersion.

The 8 most intense peaks (10° ≤ 2θ ≤ 90°), by intensity:
- 2θ = 34.86°, intensity 100.0
- 2θ = 36.58°, intensity 72.1
- 2θ = 33.26°, intensity 48.2
- 2θ = 31.85°, intensity 44.2
- 2θ = 38.75°, intensity 33.5
- 2θ = 38.59°, intensity 30.8
- 2θ = 34.00°, intensity 20.2
- 2θ = 22.28°, intensity 19.1

Atomic structure:
Lattice parameters (Å, degrees): 15.9684 7.4995 7.2225 90.00 91.77 90.00
Space group C2/m (No. 12)
Inequivalent atoms, fractional coordinates:
Pm 0.0000 0.0000 0.0000
Pm 0.1946 0.5000 0.5476
Pm 0.2480 0.0000 0.9338
In 0.0000 0.2580 0.5000
Au 0.0535 0.5000 0.2110
Au 0.1059 0.3046 0.8604
Au 0.1233 0.0000 0.6067
Au 0.1561 0.1899 0.2513

=====

Diffraction record for Pm3In4Au2. The powder diffraction line list is simulated, not measured: it uses a structure optimized by DFT (GGA-PBE) and λ = 1.5418 Å (Cu Kα).
Neutral-atom scattering factors, no anomalous dispersion.

The 8 most intense peaks (10° ≤ 2θ ≤ 90°), by intensity:
- 2θ = 30.99°, intensity 100.0
- 2θ = 33.67°, intensity 85.2
- 2θ = 39.19°, intensity 54.3
- 2θ = 34.40°, intensity 34.6
- 2θ = 62.78°, intensity 32.6
- 2θ = 59.74°, intensity 31.4
- 2θ = 40.77°, intensity 30.3
- 2θ = 43.21°, intensity 26.7

Atomic structure:
Lattice parameters (Å, degrees): 7.9636 7.9636 4.1875 90.00 90.00 120.00
Space group P-62m (No. 189)
Inequivalent atoms, fractional coordinates:
Pm 0.0000 0.5970 0.0000
In 0.0000 0.0000 0.0000
In 0.0000 0.2691 0.5000
Au 0.3333 0.6667 0.5000

=====

Diffraction record for PmInAu4. The powder diffraction line list is simulated, not measured: it uses a structure optimized by DFT (GGA-PBE) and λ = 1.5418 Å (Cu Kα).
Neutral-atom scattering factors, no anomalous dispersion.

The 8 most intense peaks (10° ≤ 2θ ≤ 90°), by intensity:
- 2θ = 33.79°, intensity 100.0
- 2θ = 33.90°, intensity 99.8
- 2θ = 36.40°, intensity 83.2
- 2θ = 36.64°, intensity 82.1
- 2θ = 40.98°, intensity 63.9
- 2θ = 39.22°, intensity 63.1
- 2θ = 42.38°, intensity 51.0
- 2θ = 71.11°, intensity 21.8

Atomic structure:
Lattice parameters (Å, degrees): 4.4045 4.6233 6.8003 83.83 71.22 89.58
Space group P1 (No. 1)
Inequivalent atoms, fractional coordinates:
Pm 0.0000 0.0000 0.0000
In 0.8002 0.4576 0.3917
Au 0.1562 0.5213 0.6881
Au 0.3269 0.0001 0.3407
Au 0.4866 0.5027 0.0346
Au 0.6661 0.9387 0.6653

=====

Diffraction record for Pm4In3Au. The powder diffraction line list is simulated, not measured: it uses a structure optimized by DFT (GGA-PBE) and λ = 1.5418 Å (Cu Kα).
Neutral-atom scattering factors, no anomalous dispersion.

The 8 most intense peaks (10° ≤ 2θ ≤ 90°), by intensity:
- 2θ = 32.67°, intensity 100.0
- 2θ = 34.68°, intensity 44.4
- 2θ = 60.89°, intensity 33.1
- 2θ = 56.99°, intensity 17.9
- 2θ = 49.86°, intensity 15.8
- 2θ = 68.46°, intensity 10.3
- 2θ = 43.74°, intensity 9.9
- 2θ = 83.59°, intensity 7.1

Atomic structure:
Lattice parameters (Å, degrees): 3.6579 3.6579 16.5574 90.00 90.00 90.00
Space group P4/mmm (No. 123)
Inequivalent atoms, fractional coordinates:
Pm 0.0000 0.0000 0.1119
Pm 0.0000 0.0000 0.3709
In 0.5000 0.5000 0.2415
In 0.5000 0.5000 0.5000
Au 0.5000 0.5000 0.0000